# Pu3PdPt
Calculated powder X-ray diffraction pattern, Cu Kα X-rays. Input: a DFT-relaxed cell (PBE, Alexandria).
Intensities are scaled so that the largest is 100.

Atomic structure:
```
data_Pu3PdPt
_chemical_formula_sum 'Pu12 Pd4 Pt4'
_symmetry_space_group_name_H-M 'C 1 m 1'
_symmetry_Int_Tables_number 8
_symmetry_space_group_name_Hall 'C -2y'
_cell_length_a 14.064
_cell_length_b 4.620
_cell_length_c 6.823
_cell_angle_alpha 90.00
_cell_angle_beta 103.65
_cell_angle_gamma 90.00
loop_
_atom_site_label
_atom_site_fract_x
_atom_site_fract_y
_atom_site_fract_z
Pu1 0.000 0.000 0.000
Pu2 0.037 0.500 0.680
Pu3 0.194 0.000 0.411
Pu4 0.245 0.500 0.070
Pu5 0.288 0.500 0.598
Pu6 0.336 0.000 0.259
Pd1 0.065 0.500 0.273
Pd2 0.464 0.500 0.405
Pt1 0.167 0.000 0.820
Pt2 0.367 0.000 0.851
```

Main lines, by angle (10° ≤ 2θ ≤ 90°):
- (3 1 1), 32.71°, 2.738 Å, rel. 54
- (4 0 -2), 32.91°, 2.722 Å, rel. 55
- (1 1 2), 35.18°, 2.551 Å, rel. 100
- (3 1 -2), 35.31°, 2.542 Å, rel. 15
- (5 1 0), 38.26°, 2.352 Å, rel. 65
- (0 2 0), 38.99°, 2.310 Å, rel. 55
- (5 1 -2), 42.36°, 2.134 Å, rel. 15
- (4 2 -2), 51.92°, 1.761 Å, rel. 31
- (4 0 3), 54.51°, 1.683 Å, rel. 16
- (1 3 2), 68.15°, 1.376 Å, rel. 22
- (4 2 3), 69.04°, 1.360 Å, rel. 17
- (8 2 1), 72.95°, 1.297 Å, rel. 22

# Ac2TbErSe5
Calculated powder X-ray diffraction pattern, Cu Kα X-rays. Input: a DFT-relaxed cell (PBE, Alexandria).
Intensities are scaled so that the largest is 100.

Atomic structure:
```
data_Ac2TbErSe5
_chemical_formula_sum 'Ac2 Tb1 Er1 Se5'
_symmetry_space_group_name_H-M 'P 4/m m m'
_symmetry_Int_Tables_number 123
_symmetry_space_group_name_Hall '-P 4 2'
_cell_length_a 5.122
_cell_length_b 5.122
_cell_length_c 10.908
_cell_angle_alpha 90.00
_cell_angle_beta 90.00
_cell_angle_gamma 90.00
loop_
_atom_site_label
_atom_site_fract_x
_atom_site_fract_y
_atom_site_fract_z
Ac1 0.000 0.000 0.211
Tb1 0.500 0.500 0.500
Er1 0.500 0.500 0.000
Se1 0.000 0.000 0.500
Se2 0.000 0.500 0.000
Se3 0.500 0.500 0.254
```

Main lines, by angle (10° ≤ 2θ ≤ 90°):
- (1 0 2), 23.83°, 3.734 Å, rel. 62
- (1 1 0), 24.58°, 3.622 Å, rel. 96
- (1 0 3), 30.14°, 2.965 Å, rel. 25
- (0 0 4), 32.84°, 2.727 Å, rel. 29
- (2 0 0), 35.02°, 2.562 Å, rel. 100
- (1 1 4), 41.44°, 2.179 Å, rel. 32
- (2 1 2), 42.82°, 2.112 Å, rel. 28
- (2 0 4), 48.78°, 1.867 Å, rel. 40
- (2 2 0), 50.39°, 1.811 Å, rel. 26
- (3 1 0), 56.84°, 1.620 Å, rel. 20
- (2 2 4), 61.47°, 1.509 Å, rel. 19
- (3 1 4), 67.22°, 1.393 Å, rel. 17

# AsAu3
Calculated powder X-ray diffraction pattern, Cu Kα X-rays. Input: a DFT-relaxed cell (PBE, Alexandria).
Intensities are scaled so that the largest is 100.

Atomic structure:
```
data_AsAu3
_chemical_formula_sum 'As1 Au3'
_symmetry_space_group_name_H-M 'P m m 2'
_symmetry_Int_Tables_number 25
_symmetry_space_group_name_Hall 'P 2 -2'
_cell_length_a 3.125
_cell_length_b 4.790
_cell_length_c 4.925
_cell_angle_alpha 90.00
_cell_angle_beta 90.00
_cell_angle_gamma 90.00
loop_
_atom_site_label
_atom_site_fract_x
_atom_site_fract_y
_atom_site_fract_z
As1 0.000 0.000 0.000
Au1 0.000 0.500 0.358
Au2 0.500 0.000 0.499
Au3 0.500 0.500 0.861
```

Main lines, by angle (10° ≤ 2θ ≤ 90°):
- (1 0 1), 33.98°, 2.639 Å, rel. 18
- (0 0 2), 36.49°, 2.463 Å, rel. 15
- (0 2 0), 37.56°, 2.395 Å, rel. 33
- (1 1 1), 38.97°, 2.311 Å, rel. 100
- (0 1 2), 41.22°, 2.190 Å, rel. 31
- (1 2 1), 51.54°, 1.773 Å, rel. 11
- (0 2 2), 53.36°, 1.717 Å, rel. 11
- (1 0 3), 64.07°, 1.453 Å, rel. 13
- (1 3 1), 68.72°, 1.366 Å, rel. 19
- (2 2 0), 72.19°, 1.309 Å, rel. 10
- (2 1 2), 74.62°, 1.272 Å, rel. 11
- (1 2 3), 76.70°, 1.242 Å, rel. 16

# BaSn12
Calculated powder X-ray diffraction pattern, Cu Kα X-rays. Input: a DFT-relaxed cell (PBE, Alexandria).
Intensities are scaled so that the largest is 100.

Atomic structure:
```
data_BaSn12
_chemical_formula_sum 'Ba4 Sn48'
_symmetry_space_group_name_H-M 'F m -3 m'
_symmetry_Int_Tables_number 225
_symmetry_space_group_name_Hall '-F 4 2 3'
_cell_length_a 12.706
_cell_length_b 12.706
_cell_length_c 12.706
_cell_angle_alpha 90.00
_cell_angle_beta 90.00
_cell_angle_gamma 90.00
loop_
_atom_site_label
_atom_site_fract_x
_atom_site_fract_y
_atom_site_fract_z
Ba1 0.000 0.000 0.000
Sn1 0.000 0.170 0.330
```

Main lines, by angle (10° ≤ 2θ ≤ 90°):
- (1 1 1), 12.06°, 7.336 Å, rel. 26
- (2 2 0), 19.76°, 4.492 Å, rel. 19
- (3 1 1), 23.22°, 3.831 Å, rel. 100
- (2 2 2), 24.27°, 3.668 Å, rel. 38
- (4 2 2), 34.58°, 2.594 Å, rel. 38
- (3 3 3), 36.75°, 2.445 Å, rel. 85
- (5 3 1), 42.07°, 2.148 Å, rel. 47
- (6 0 0), 42.70°, 2.118 Å, rel. 71
- (5 5 3), 55.55°, 1.654 Å, rel. 29
- (6 6 0), 61.97°, 1.497 Å, rel. 48
- (7 5 3), 67.11°, 1.395 Å, rel. 17
- (9 3 3), 74.27°, 1.277 Å, rel. 33

# AcPH2Pd
Calculated powder X-ray diffraction pattern, Cu Kα X-rays. Input: a DFT-relaxed cell (PBE, Alexandria).
Intensities are scaled so that the largest is 100.

Atomic structure:
```
data_AcPH2Pd
_chemical_formula_sum 'Ac1 P1 H2 Pd1'
_symmetry_space_group_name_H-M 'P 4 m m'
_symmetry_Int_Tables_number 99
_symmetry_space_group_name_Hall 'P 4 -2'
_cell_length_a 4.118
_cell_length_b 4.118
_cell_length_c 4.893
_cell_angle_alpha 90.00
_cell_angle_beta 90.00
_cell_angle_gamma 90.00
loop_
_atom_site_label
_atom_site_fract_x
_atom_site_fract_y
_atom_site_fract_z
Ac1 0.000 0.000 0.000
P1 0.500 0.500 0.885
H1 0.000 0.500 0.390
Pd1 0.500 0.500 0.394
```

Main lines, by angle (10° ≤ 2θ ≤ 90°):
- (0 0 1), 18.13°, 4.893 Å, rel. 23
- (1 0 1), 28.33°, 3.151 Å, rel. 100
- (1 1 0), 30.70°, 2.912 Å, rel. 64
- (1 1 1), 35.89°, 2.502 Å, rel. 18
- (0 0 2), 36.73°, 2.447 Å, rel. 13
- (1 0 2), 43.00°, 2.103 Å, rel. 22
- (2 0 0), 43.98°, 2.059 Å, rel. 24
- (1 1 2), 48.61°, 1.873 Å, rel. 23
- (2 1 1), 53.14°, 1.724 Å, rel. 36
- (2 0 2), 58.60°, 1.575 Å, rel. 13
- (2 1 2), 63.19°, 1.471 Å, rel. 14
- (3 1 0), 72.60°, 1.302 Å, rel. 11

# TlRuCl6
Calculated powder X-ray diffraction pattern, Cu Kα X-rays. Input: a DFT-relaxed cell (PBE, Alexandria).
Intensities are scaled so that the largest is 100.

Atomic structure:
```
data_TlRuCl6
_chemical_formula_sum 'Tl4 Ru4 Cl24'
_symmetry_space_group_name_H-M 'C 1 2/c 1'
_symmetry_Int_Tables_number 15
_symmetry_space_group_name_Hall '-C 2yc'
_cell_length_a 10.877
_cell_length_b 8.185
_cell_length_c 10.848
_cell_angle_alpha 90.00
_cell_angle_beta 91.24
_cell_angle_gamma 90.00
loop_
_atom_site_label
_atom_site_fract_x
_atom_site_fract_y
_atom_site_fract_z
Tl1 0.000 0.010 0.250
Ru1 0.250 0.250 0.500
Cl1 0.067 0.335 0.408
Cl2 0.170 0.301 0.693
Cl3 0.176 0.018 0.005
```

Main lines, by angle (10° ≤ 2θ ≤ 90°):
- (1 1 0), 13.54°, 6.540 Å, rel. 100
- (1 1 -1), 15.73°, 5.633 Å, rel. 53
- (1 1 1), 15.92°, 5.569 Å, rel. 36
- (1 1 -2), 21.15°, 4.201 Å, rel. 29
- (1 1 2), 21.42°, 4.148 Å, rel. 32
- (2 0 -2), 22.91°, 3.882 Å, rel. 41
- (2 0 2), 23.42°, 3.799 Å, rel. 36
- (2 2 0), 27.28°, 3.269 Å, rel. 64
- (3 1 2), 31.92°, 2.804 Å, rel. 41
- (0 0 4), 33.00°, 2.714 Å, rel. 30
- (1 3 0), 33.87°, 2.646 Å, rel. 34
- (2 2 -4), 43.04°, 2.102 Å, rel. 46

# Er2CuB4O10
Calculated powder X-ray diffraction pattern, Cu Kα X-rays. Input: a DFT-relaxed cell (PBE, Alexandria).
Intensities are scaled so that the largest is 100.

Atomic structure:
```
data_Er2CuB4O10
_chemical_formula_sum 'Er4 Cu2 B8 O20'
_symmetry_space_group_name_H-M 'P 1 21/c 1'
_symmetry_Int_Tables_number 14
_symmetry_space_group_name_Hall '-P 2ybc'
_cell_length_a 4.593
_cell_length_b 7.268
_cell_length_c 9.345
_cell_angle_alpha 90.00
_cell_angle_beta 90.39
_cell_angle_gamma 90.00
loop_
_atom_site_label
_atom_site_fract_x
_atom_site_fract_y
_atom_site_fract_z
Er1 0.004 0.104 0.165
Cu1 0.000 0.000 0.500
B1 0.461 0.732 0.580
B2 0.472 0.098 0.662
O1 0.214 0.590 0.834
O2 0.229 0.611 0.542
O3 0.323 0.588 0.138
O4 0.342 0.165 0.801
O5 0.358 0.222 0.548
```

Main lines, by angle (10° ≤ 2θ ≤ 90°):
- (1 0 0), 19.33°, 4.592 Å, rel. 100
- (0 1 2), 22.62°, 3.930 Å, rel. 35
- (0 2 1), 26.31°, 3.387 Å, rel. 43
- (1 1 -2), 29.84°, 2.994 Å, rel. 28
- (1 1 2), 30.01°, 2.978 Å, rel. 22
- (0 1 3), 31.24°, 2.863 Å, rel. 43
- (1 2 0), 31.39°, 2.850 Å, rel. 23
- (1 2 1), 32.86°, 2.726 Å, rel. 92
- (1 1 -3), 36.89°, 2.436 Å, rel. 44
- (1 1 3), 37.10°, 2.423 Å, rel. 49
- (2 1 -3), 50.82°, 1.797 Å, rel. 20
- (2 1 3), 51.15°, 1.786 Å, rel. 22

# PmHo2TcO8
Calculated powder X-ray diffraction pattern, Cu Kα X-rays. Input: a DFT-relaxed cell (PBE, Alexandria).
Intensities are scaled so that the largest is 100.

Atomic structure:
```
data_PmHo2TcO8
_chemical_formula_sum 'Pm2 Ho4 Tc2 O16'
_symmetry_space_group_name_H-M 'C m m m'
_symmetry_Int_Tables_number 65
_symmetry_space_group_name_Hall '-C 2 2'
_cell_length_a 7.146
_cell_length_b 7.158
_cell_length_c 6.807
_cell_angle_alpha 90.00
_cell_angle_beta 90.00
_cell_angle_gamma 90.00
loop_
_atom_site_label
_atom_site_fract_x
_atom_site_fract_y
_atom_site_fract_z
Pm1 0.000 0.000 0.000
Ho1 0.000 0.500 0.249
Tc1 0.000 0.000 0.500
O1 0.000 0.267 0.500
O2 0.000 0.314 0.000
O3 0.184 0.000 0.297
```

Main lines, by angle (10° ≤ 2θ ≤ 90°):
- (2 0 0), 24.90°, 3.576 Å, rel. 100
- (1 1 2), 31.69°, 2.823 Å, rel. 88
- (2 2 0), 35.50°, 2.529 Å, rel. 25
- (3 1 2), 48.32°, 1.884 Å, rel. 68
- (0 4 0), 51.08°, 1.788 Å, rel. 17
- (2 4 0), 57.60°, 1.600 Å, rel. 9
- (4 2 0), 57.67°, 1.598 Å, rel. 8
- (2 0 4), 60.23°, 1.537 Å, rel. 17
- (3 3 2), 61.37°, 1.511 Å, rel. 19
- (2 2 4), 66.20°, 1.412 Å, rel. 10
- (4 0 4), 77.43°, 1.233 Å, rel. 9
- (3 5 2), 83.84°, 1.154 Å, rel. 13

# Ti2NbW6
Calculated powder X-ray diffraction pattern, Cu Kα X-rays. Input: a DFT-relaxed cell (PBE, Alexandria).
Intensities are scaled so that the largest is 100.

Atomic structure:
```
data_Ti2NbW6
_chemical_formula_sum 'Ti2 Nb1 W6'
_symmetry_space_group_name_H-M 'P 1 2/m 1'
_symmetry_Int_Tables_number 10
_symmetry_space_group_name_Hall '-P 2y'
_cell_length_a 5.307
_cell_length_b 4.455
_cell_length_c 6.844
_cell_angle_alpha 90.00
_cell_angle_beta 104.04
_cell_angle_gamma 90.00
loop_
_atom_site_label
_atom_site_fract_x
_atom_site_fract_y
_atom_site_fract_z
Ti1 0.192 0.000 0.380
Nb1 0.500 0.500 0.500
W1 0.107 0.500 0.703
W2 0.288 0.500 0.102
W3 0.393 0.000 0.808
```

Main lines, by angle (10° ≤ 2θ ≤ 90°):
- (1 0 -1), 19.08°, 4.652 Å, rel. 22
- (0 1 0), 19.93°, 4.455 Å, rel. 23
- (1 1 0), 26.46°, 3.369 Å, rel. 22
- (2 1 -1), 39.87°, 2.261 Å, rel. 100
- (1 0 -3), 40.26°, 2.240 Å, rel. 48
- (0 2 0), 40.50°, 2.228 Å, rel. 52
- (1 1 2), 41.09°, 2.197 Å, rel. 92
- (1 2 -3), 58.43°, 1.580 Å, rel. 33
- (3 0 1), 58.75°, 1.572 Å, rel. 17
- (3 1 -4), 72.08°, 1.310 Å, rel. 17
- (2 3 -1), 73.23°, 1.292 Å, rel. 17
- (1 3 2), 74.06°, 1.280 Å, rel. 16

# Al6GePd12
Calculated powder X-ray diffraction pattern, Cu Kα X-rays. Input: a DFT-relaxed cell (PBE, Alexandria).
Intensities are scaled so that the largest is 100.

Atomic structure:
```
data_Al6GePd12
_chemical_formula_sum 'Al18 Ge3 Pd36'
_symmetry_space_group_name_H-M 'R -3'
_symmetry_Int_Tables_number 148
_symmetry_space_group_name_Hall '-R 3'
_cell_length_a 10.6953
_cell_length_b 10.6953
_cell_length_c 10.0846
_cell_angle_alpha 90.00
_cell_angle_beta 90.00
_cell_angle_gamma 120.00
loop_
_atom_site_label
_atom_site_fract_x
_atom_site_fract_y
_atom_site_fract_z
Al1 0.0458 0.2163 0.1756
Ge1 0.0000 0.0000 0.5000
Pd1 0.0484 0.2418 0.4225
Pd2 0.0538 0.2452 0.9232
```

Main lines, by angle (10° ≤ 2θ ≤ 90°):
- (1 1 0), 16.58°, 5.348 Å, rel. 13
- (0 1 2), 20.05°, 4.429 Å, rel. 18
- (3 -2 2), 31.10°, 2.876 Å, rel. 100
- (2 1 4), 44.27°, 2.046 Å, rel. 73
- (1 4 0), 44.84°, 2.021 Å, rel. 71
- (4 2 2), 55.58°, 1.654 Å, rel. 19
- (6 -4 4), 64.85°, 1.438 Å, rel. 22
- (1 4 6), 73.24°, 1.292 Å, rel. 17
- (0 7 2), 74.08°, 1.280 Å, rel. 17
- (3 -2 8), 81.08°, 1.186 Å, rel. 11
- (7 0 4), 82.29°, 1.172 Å, rel. 21
- (6 3 0), 82.70°, 1.167 Å, rel. 10

# Ac3Hg
Calculated powder X-ray diffraction pattern, Cu Kα X-rays. Input: a DFT-relaxed cell (PBE, Alexandria).
Intensities are scaled so that the largest is 100.

Atomic structure:
```
data_Ac3Hg
_chemical_formula_sum 'Ac3 Hg1'
_symmetry_space_group_name_H-M 'P m -3 m'
_symmetry_Int_Tables_number 221
_symmetry_space_group_name_Hall '-P 4 2 3'
_cell_length_a 5.330
_cell_length_b 5.330
_cell_length_c 5.330
_cell_angle_alpha 90.00
_cell_angle_beta 90.00
_cell_angle_gamma 90.00
loop_
_atom_site_label
_atom_site_fract_x
_atom_site_fract_y
_atom_site_fract_z
Ac1 0.000 0.000 0.500
Hg1 0.500 0.500 0.500
```

Main lines, by angle (10° ≤ 2θ ≤ 90°):
- (1 1 1), 29.02°, 3.077 Å, rel. 100
- (2 0 0), 33.63°, 2.665 Å, rel. 51
- (2 2 0), 48.29°, 1.885 Å, rel. 38
- (3 1 1), 57.33°, 1.607 Å, rel. 46
- (2 2 2), 60.14°, 1.539 Å, rel. 13
- (4 0 0), 70.69°, 1.333 Å, rel. 6
- (3 3 1), 78.17°, 1.223 Å, rel. 19
- (4 2 0), 80.60°, 1.192 Å, rel. 18

# Sm2PuZrN4
Calculated powder X-ray diffraction pattern, Cu Kα X-rays. Input: a DFT-relaxed cell (PBE, Alexandria).
Intensities are scaled so that the largest is 100.

Atomic structure:
```
data_Sm2PuZrN4
_chemical_formula_sum 'Sm2 Pu1 Zr1 N4'
_symmetry_space_group_name_H-M 'P 1 2/m 1'
_symmetry_Int_Tables_number 10
_symmetry_space_group_name_Hall '-P 2y'
_cell_length_a 5.978
_cell_length_b 3.458
_cell_length_c 6.015
_cell_angle_alpha 90.00
_cell_angle_beta 109.23
_cell_angle_gamma 90.00
loop_
_atom_site_label
_atom_site_fract_x
_atom_site_fract_y
_atom_site_fract_z
Sm1 0.000 0.000 0.000
Sm2 0.500 0.500 0.000
Pu1 0.000 0.500 0.500
Zr1 0.500 0.000 0.500
N1 0.249 0.000 0.725
N2 0.264 0.500 0.275
```

Main lines, by angle (10° ≤ 2θ ≤ 90°):
- (1 0 0), 15.69°, 5.647 Å, rel. 10
- (0 0 2), 31.51°, 2.840 Å, rel. 34
- (2 0 0), 31.70°, 2.823 Å, rel. 100
- (1 1 1), 36.71°, 2.448 Å, rel. 96
- (2 0 2), 52.76°, 1.735 Å, rel. 33
- (0 2 0), 53.01°, 1.727 Å, rel. 33
- (1 1 3), 62.72°, 1.481 Å, rel. 10
- (2 0 -4), 62.90°, 1.478 Å, rel. 15
- (3 1 1), 63.00°, 1.475 Å, rel. 20
- (4 0 0), 66.21°, 1.411 Å, rel. 17
- (3 1 3), 89.25°, 1.097 Å, rel. 10
- (4 2 0), 89.64°, 1.094 Å, rel. 10

# LaCeZnGa
Calculated powder X-ray diffraction pattern, Cu Kα X-rays. Input: a DFT-relaxed cell (PBE, Alexandria).
Intensities are scaled so that the largest is 100.

Atomic structure:
```
data_LaCeZnGa
_chemical_formula_sum 'La4 Ce4 Zn4 Ga4'
_symmetry_space_group_name_H-M 'F -4 3 m'
_symmetry_Int_Tables_number 216
_symmetry_space_group_name_Hall 'F -4 2 3'
_cell_length_a 7.404
_cell_length_b 7.404
_cell_length_c 7.404
_cell_angle_alpha 90.00
_cell_angle_beta 90.00
_cell_angle_gamma 90.00
loop_
_atom_site_label
_atom_site_fract_x
_atom_site_fract_y
_atom_site_fract_z
La1 0.000 0.000 0.000
Ce1 0.000 0.000 0.500
Zn1 0.250 0.250 0.250
Ga1 0.250 0.250 0.750
```

Main lines, by angle (10° ≤ 2θ ≤ 90°):
- (2 0 0), 24.04°, 3.702 Å, rel. 12
- (2 2 0), 34.26°, 2.618 Å, rel. 100
- (2 2 2), 42.29°, 2.137 Å, rel. 4
- (4 0 0), 49.23°, 1.851 Å, rel. 18
- (4 2 0), 55.51°, 1.655 Å, rel. 5
- (4 2 2), 61.34°, 1.511 Å, rel. 36
- (4 4 0), 72.18°, 1.309 Å, rel. 11
- (6 0 0), 77.33°, 1.234 Å, rel. 2
- (6 2 0), 82.38°, 1.171 Å, rel. 15
- (6 2 2), 87.37°, 1.116 Å, rel. 2